1.
The following is a theoretical powder XRD pattern of HoZnGa2Au. It was derived from a GGA-PBE-relaxed structure, using Cu Ka.
Kinematic intensities with the Lorentz-polarization factor, no thermal factor.

Cell and atoms:
```
data_HoZnGa2Au
_cell_length_a 5.8558
_cell_length_b 11.8786
_cell_length_c 5.8054
_cell_angle_alpha 90.00
_cell_angle_beta 90.00
_cell_angle_gamma 90.00
_space_group_name_H-M_alt 'C m m e'
_space_group_IT_number 67
_space_group_name_Hall '-C 2a 2'
loop_
_atom_site_label
_atom_site_type_symbol
_atom_site_fract_x
_atom_site_fract_y
_atom_site_fract_z
Ho1 Ho 0.0000 0.2500 0.2422
Zn1 Zn 0.0000 0.0000 0.0000
Ga1 Ga 0.0000 0.1492 0.7253
Au1 Au 0.2500 0.0000 0.5000
```

Peak list (10 most intense, 10° ≤ 2θ ≤ 90°, in order of falling intensity)
34.4 deg, I = 100.0; 44.0 deg, I = 65.1; 37.6 deg, I = 39.2; 34.1 deg, I = 39.0; 31.3 deg, I = 38.7; 46.3 deg, I = 26.5; 30.1 deg, I = 23.7; 15.3 deg, I = 23.1; 21.4 deg, I = 17.6; 74.3 deg, I = 16.5



2.
The following is a theoretical powder XRD pattern of Sr2PuCd6. It was derived from a GGA-PBE-relaxed structure, using Cu Ka.
Kinematic intensities with the Lorentz-polarization factor, no thermal factor.

Cell and atoms:
```
data_Sr2PuCd6
_cell_length_a 8.9457
_cell_length_b 8.9457
_cell_length_c 3.5651
_cell_angle_alpha 90.00
_cell_angle_beta 90.00
_cell_angle_gamma 120.00
_space_group_name_H-M_alt 'P 6/m m m'
_space_group_IT_number 191
_space_group_name_Hall '-P 6 2'
loop_
_atom_site_label
_atom_site_type_symbol
_atom_site_fract_x
_atom_site_fract_y
_atom_site_fract_z
Sr1 Sr 0.3333 0.6667 0.0000
Pu1 Pu 0.0000 0.0000 0.0000
Cd1 Cd 0.0000 0.3298 0.5000
```

Peak list (10 most intense, 10° ≤ 2θ ≤ 90°, in order of falling intensity)
32.1 deg, I = 100.0; 34.7 deg, I = 85.8; 48.0 deg, I = 32.1; 60.6 deg, I = 31.6; 63.4 deg, I = 28.8; 11.4 deg, I = 21.4; 62.3 deg, I = 15.2; 82.3 deg, I = 13.3; 84.8 deg, I = 12.9; 73.3 deg, I = 9.3



3.
The following is a theoretical powder XRD pattern of SmBe2Ir. It was derived from a GGA-PBE-relaxed structure, using Cu Ka.
Kinematic intensities with the Lorentz-polarization factor, no thermal factor.

Cell and atoms:
```
data_SmBe2Ir
_cell_length_a 3.9056
_cell_length_b 3.9056
_cell_length_c 14.7746
_cell_angle_alpha 90.00
_cell_angle_beta 90.00
_cell_angle_gamma 120.00
_space_group_name_H-M_alt 'R -3 m'
_space_group_IT_number 166
_space_group_name_Hall '-R 3 2"'
loop_
_atom_site_label
_atom_site_type_symbol
_atom_site_fract_x
_atom_site_fract_y
_atom_site_fract_z
Sm1 Sm 0.0000 0.0000 0.0000
Be1 Be 0.0000 0.0000 0.1945
Ir1 Ir 0.0000 0.0000 0.5000
```

Peak list (10 most intense, 10° ≤ 2θ ≤ 90°, in order of falling intensity)
29.0 deg, I = 100.0; 36.0 deg, I = 61.1; 46.5 deg, I = 31.6; 60.5 deg, I = 28.0; 36.5 deg, I = 20.1; 55.8 deg, I = 16.5; 56.8 deg, I = 15.4; 60.2 deg, I = 13.9; 75.5 deg, I = 13.5; 79.3 deg, I = 12.7



4.
The following is a theoretical powder XRD pattern of YCoTc. It was derived from a GGA-PBE-relaxed structure, using Cu Ka.
Kinematic intensities with the Lorentz-polarization factor, no thermal factor.

Cell and atoms:
```
data_YCoTc
_cell_length_a 4.9831
_cell_length_b 5.4260
_cell_length_c 7.6135
_cell_angle_alpha 90.00
_cell_angle_beta 90.00
_cell_angle_gamma 90.00
_space_group_name_H-M_alt 'I m m a'
_space_group_IT_number 74
_space_group_name_Hall '-I 2b 2'
loop_
_atom_site_label
_atom_site_type_symbol
_atom_site_fract_x
_atom_site_fract_y
_atom_site_fract_z
Y1 Y 0.0000 0.2500 0.1206
Co1 Co 0.0000 0.0000 0.5000
Tc1 Tc 0.2500 0.2500 0.7500
```

Peak list (10 most intense, 10° ≤ 2θ ≤ 90°, in order of falling intensity)
41.6 deg, I = 100.0; 39.6 deg, I = 70.8; 39.2 deg, I = 64.5; 33.9 deg, I = 54.9; 40.8 deg, I = 49.5; 43.4 deg, I = 46.7; 71.4 deg, I = 45.4; 39.9 deg, I = 31.0; 33.0 deg, I = 30.0; 64.9 deg, I = 25.9